For Ba2Tl2Zn2Fe3O10, a PBE+U-relaxed structure gives the simulated powder X-ray diffraction pattern in this record (Cu Kα (weighted mean of Kα1 and Kα2)).
Intensities are scaled so that the largest is 100.

Cell and atoms:
```
data_Ba2Tl2Zn2Fe3O10
_chemical_formula_sum 'Ba2 Tl2 Zn2 Fe3 O10'
_symmetry_space_group_name_H-M 'P 1'
_symmetry_Int_Tables_number 1
_cell_length_a 3.9740
_cell_length_b 4.0175
_cell_length_c 17.8145
_cell_angle_alpha 93.83
_cell_angle_beta 93.93
_cell_angle_gamma 90.24
loop_
_symmetry_equiv_pos_as_xyz
'x,y,z'
loop_
_atom_site_label
_atom_site_fract_x
_atom_site_fract_y
_atom_site_fract_z
Ba1 0.0000 0.0000 0.0000
Ba2 0.3665 0.3724 0.5633
Tl1 0.4522 0.5087 0.8453
Tl2 0.9129 0.9709 0.7179
Zn1 0.0924 0.1697 0.1920
Zn2 0.1847 0.2682 0.3702
Fe1 0.5418 0.5525 0.1192
Fe2 0.5428 0.8147 0.2818
Fe3 0.8110 0.8294 0.4452
O1 0.0268 0.8749 0.2733
O2 0.0369 0.5139 0.1152
O3 0.3172 0.8499 0.4436
O4 0.4172 0.3020 0.7283
O5 0.4857 0.3334 0.2901
O6 0.4895 0.4790 0.9647
O7 0.5263 0.0455 0.1212
O8 0.8488 0.3355 0.4484
O9 0.8758 0.8715 0.5985
O10 0.9500 0.8336 0.8350
```

The 12 most intense peaks (5 to 70 degrees two-theta), low angle first:
| 2theta | intensity |
| --- | --- |
| 26.01 | 32 |
| 27.72 | 47 |
| 27.95 | 49 |
| 29.01 | 48 |
| 29.16 | 50 |
| 31.07 | 46 |
| 31.29 | 40 |
| 31.60 | 87 |
| 31.82 | 100 |
| 35.44 | 45 |
| 45.20 | 38 |
| 45.72 | 45 |